1.
Simulated XRD peak list of LiSbP2O7 for Cu Kα, 1.54184 Å, from the GGA-PBE geometry in the Materials Project.
Peak positions follow from Bragg's law for the DFT cell and can differ from measured ones.

Most intense lines, 10° ≤ 2θ ≤ 90°, by intensity:
- 2θ = 15.7°, I = 100, (0 1 1)
- 2θ = 27.7°, I = 35, (1 2 -1)
- 2θ = 28.3°, I = 29, (1 1 -2)
- 2θ = 25.0°, I = 23, (1 0 1)
- 2θ = 21.1°, I = 23, (1 1 0)
- 2θ = 31.7°, I = 20, (0 2 2)
- 2θ = 21.6°, I = 15, (1 1 -1)
- 2θ = 32.3°, I = 15, (0 3 1)
- 2θ = 37.7°, I = 13, (2 0 0)
- 2θ = 19.2°, I = 12, (1 0 -1)

Crystal structure
```
data_LiSbP2O7
_chemical_formula_sum 'Li2 Sb2 P4 O14'
_cell_length_a 4.963
_cell_length_b 9.002
_cell_length_c 7.548
_cell_angle_alpha 90.00
_cell_angle_beta 106.07
_cell_angle_gamma 90.00
_symmetry_space_group_name_H-M 'P 1 21 1'
_symmetry_Int_Tables_number 4
loop_
_symmetry_equiv_pos_as_xyz
'x,y,z'
'-x,y+1/2,-z'
loop_
_atom_site_label
_atom_site_fract_x
_atom_site_fract_y
_atom_site_fract_z
Li1 0.204 0.000 0.154
Sb1 0.200 0.349 0.223
P1 0.220 0.038 0.580
P2 0.416 0.668 0.071
O1 0.066 0.522 0.380
O2 0.198 0.088 0.386
O3 0.227 0.524 0.040
O4 0.243 0.809 0.054
O5 0.388 0.891 0.634
O6 0.390 0.162 0.054
O7 0.395 0.166 0.715
```

2.
Simulated XRD peak list of Cs3Er2I9 for Cu Kα, 1.54184 Å, from the GGA-PBE geometry in the Materials Project.
Peak positions follow from Bragg's law for the DFT cell and can differ from measured ones.

Most intense lines, 10° ≤ 2θ ≤ 90°, by intensity:
- 2θ = 26.6°, I = 100, (2 0 3)
- 2θ = 28.8°, I = 91, (2 0 4)
- 2θ = 25.0°, I = 86, (2 0 2)
- 2θ = 41.5°, I = 77, (2 2 0)
- 2θ = 12.4°, I = 71, (1 0 1)
- 2θ = 31.4°, I = 53, (2 0 5)
- 2θ = 24.6°, I = 42, (0 0 6)
- 2θ = 48.8°, I = 37, (2 2 6)
- 2θ = 44.6°, I = 34, (2 0 9)
- 2θ = 23.6°, I = 28, (1 0 5)

Crystal structure
```
data_Cs3Er2I9
_chemical_formula_sum 'Cs6 Er4 I18'
_cell_length_a 8.7137
_cell_length_b 8.7137
_cell_length_c 21.7069
_cell_angle_alpha 90.00
_cell_angle_beta 90.00
_cell_angle_gamma 120.00
_symmetry_space_group_name_H-M 'P 63/m m c'
_symmetry_Int_Tables_number 194
_symmetry_space_group_name_Hall '-P 6c 2c'
loop_
_atom_site_label
_atom_site_fract_x
_atom_site_fract_y
_atom_site_fract_z
Cs1 0.0000 0.0000 0.2500
Cs2 0.3333 0.6667 0.0696
Er1 0.3333 0.6667 0.6564
I1 0.0174 0.5087 0.7500
I2 0.1677 0.3354 0.5871
```

3.
Simulated XRD peak list of Mg14CrB for Cu Kα, 1.54184 Å, from the GGA-PBE geometry in the Materials Project.
Peak positions follow from Bragg's law for the DFT cell and can differ from measured ones.

Most intense lines, 10° ≤ 2θ ≤ 90°, by intensity:
- 2θ = 38.0°, I = 100, (2 0 2)
- 2θ = 35.8°, I = 26, (0 0 4)
- 2θ = 33.4°, I = 24, (2 0 0)
- 2θ = 71.6°, I = 18, (2 2 4)
- 2θ = 65.8°, I = 18, (2 0 6)
- 2θ = 59.7°, I = 16, (2 2 0)
- 2θ = 49.8°, I = 15, (2 0 4)
- 2θ = 73.0°, I = 13, (4 0 2)
- 2θ = 18.8°, I = 9, (1 0 1)
- 2θ = 31.5°, I = 3, (1 0 3)

Crystal structure
```
data_Mg14CrB
_chemical_formula_sum 'Mg14 Cr1 B1'
_cell_length_a 6.1946
_cell_length_b 6.1946
_cell_length_c 10.0375
_cell_angle_alpha 90.00
_cell_angle_beta 90.00
_cell_angle_gamma 120.00
_symmetry_space_group_name_H-M 'P -6 m 2'
_symmetry_Int_Tables_number 187
_symmetry_space_group_name_Hall 'P -6 2'
loop_
_atom_site_label
_atom_site_fract_x
_atom_site_fract_y
_atom_site_fract_z
Mg1 0.0000 0.0000 0.2475
Mg2 0.0124 0.5062 0.2558
Mg3 0.3306 0.1653 0.5000
Mg4 0.3359 0.1680 0.0000
Cr1 0.3333 0.6667 0.0000
B1 0.3333 0.6667 0.5000
```